Simulated X-ray powder pattern of CsTiNiOF5 for Cu Kα, 1.54184 Å, from a DFT-relaxed cell (GGA+U, Alexandria).
Peak positions follow from Bragg's law for the DFT cell and can differ from measured ones.

Structure:
Lattice parameters (Å, degrees): 7.403 7.403 7.403 121.33 119.99 88.86
Fractional coordinates of all 18 atoms:
Cs: 0.371 0.121 0.250
Cs: 0.629 0.879 0.750
Ti: 0.000 0.000 0.500
Ti: 0.000 0.500 0.000
Ni: 0.000 0.500 0.500
Ni: 0.500 0.500 0.000
O: 0.041 0.791 0.250
O: 0.959 0.209 0.750
F: 0.061 0.415 0.230
F: 0.061 0.831 0.646
F: 0.315 0.169 0.730
F: 0.315 0.585 0.146
F: 0.322 0.572 0.750
F: 0.678 0.428 0.250
F: 0.685 0.415 0.854
F: 0.685 0.831 0.270
F: 0.939 0.169 0.354
F: 0.939 0.585 0.770

Main lines, by intensity (10 to 90 degrees two-theta):
two_theta, d [Å], intensity
28.4, 3.148, 100
24.0, 3.701, 91
28.7, 3.113, 87
49.2, 1.850, 84
28.0, 3.182, 51
28.1, 3.170, 48
44.8, 2.022, 29
29.9, 2.991, 24
29.5, 3.033, 23
45.5, 1.994, 22